Structure and computed powder diffractogram of Tl3FeP2O8 (a crystal structure in Alexandria, relaxed with PBE+U; CuKα).

The 8 most intense peaks (2θ = 10–90°), low angle first:
2θ (°), I/Imax, h k l
21.67, 49, 1 0 1
28.47, 100, 1 0 2
33.06, 72, 1 1 0
37.31, 29, 0 1 3
39.88, 21, 0 2 1
44.18, 28, 0 2 2
55.24, 19, 1 1 4
56.27, 29, 2 1 2

Structure:
Cell lengths 5.4197, 5.4197, 8.4247 Å; angles 90.00, 90.00, 120.00 degrees
Atoms (fractional coordinates):
Tl 0.0000 0.0000 0.0000
Tl 0.3333 0.6667 0.7833
Tl 0.6667 0.3333 0.2167
Fe 0.0000 0.0000 0.5000
P 0.3333 0.6667 0.3006
P 0.6667 0.3333 0.6994
O 0.1758 0.3517 0.3590
O 0.1758 0.8242 0.3590
O 0.3333 0.6667 0.1170
O 0.3517 0.1758 0.6410
O 0.6483 0.8242 0.3590
O 0.6667 0.3333 0.8830
O 0.8242 0.1758 0.6410
O 0.8242 0.6483 0.6410